1.
Structure and calculated powder XRD pattern of La4MgNi3WO12 (a structure optimized by DFT (GGA+U); CuKα).

Structural model:
```
La4MgNi3WO12
1.0
5.4769 0.0000 0.0000
0.0000 8.9736 0.0000
-0.0608 0.0000 5.6117
La Mg Ni W O
4 1 3 1 12
direct
0.0000 0.1933 0.0000
0.0000 0.8067 0.0000
0.5000 0.2938 0.5000
0.5000 0.7062 0.5000
0.0000 0.5000 0.0000
0.0000 0.5000 0.5000
0.5000 0.0000 0.0000
0.5000 0.5000 0.0000
0.0000 0.0000 0.5000
0.0000 0.2350 0.5000
0.0000 0.7650 0.5000
0.1853 0.0000 0.8239
0.2513 0.5000 0.7456
0.2548 0.5000 0.2582
0.2991 0.0000 0.2991
0.5000 0.2463 0.0000
0.5000 0.7537 0.0000
0.7009 0.0000 0.7009
0.7452 0.5000 0.7418
0.7487 0.5000 0.2544
0.8147 0.0000 0.1761
```

Principal peaks in the range 5° ≤ 2θ ≤ 70°, by intensity:
Position (°2θ)  intensity
30.37  100
30.18  100
31.89  70
32.70  65
33.96  47
18.98  43
46.59  40
46.06  37
40.20  26
47.74  22

=====

2.
Structure and calculated powder XRD pattern of Li3MnB2O6 (a structure optimized by DFT (GGA+U); CuKα).

Structural model:
```
Li3MnB2O6
1.0
5.2601 0.0000 0.0000
0.0000 8.9982 0.0000
-4.9569 0.0000 9.5500
Li Mn B O
12 4 8 24
direct
0.0064 0.0209 0.1602
0.0064 0.4791 0.6602
0.0492 0.6561 0.8769
0.0492 0.8439 0.3769
0.4308 0.0092 0.6068
0.4308 0.4908 0.1068
0.5692 0.5092 0.8932
0.5692 0.9908 0.3932
0.9508 0.1561 0.6231
0.9508 0.3439 0.1231
0.9936 0.5209 0.3398
0.9936 0.9791 0.8398
0.4792 0.6836 0.6242
0.4792 0.8164 0.1242
0.5208 0.1836 0.8758
0.5208 0.3164 0.3757
0.0485 0.1772 0.3791
0.0485 0.3228 0.8791
0.4633 0.1623 0.1302
0.4633 0.3377 0.6302
0.5367 0.6623 0.3698
0.5367 0.8377 0.8698
0.9515 0.6772 0.1209
0.9515 0.8228 0.6209
0.1212 0.1832 0.8472
0.1212 0.3168 0.3472
0.1821 0.6668 0.0916
0.1821 0.8332 0.5916
0.1984 0.0518 0.3814
0.1984 0.4482 0.8814
0.3338 0.6752 0.4209
0.3338 0.8248 0.9209
0.3517 0.0298 0.1400
0.3517 0.4702 0.6400
0.3806 0.2063 0.6739
0.3806 0.2937 0.1739
0.6194 0.7063 0.8261
0.6194 0.7937 0.3261
0.6483 0.5298 0.3600
0.6483 0.9702 0.8600
0.6662 0.1752 0.0791
0.6662 0.3248 0.5791
0.8016 0.5518 0.1186
0.8016 0.9482 0.6186
0.8179 0.1668 0.4084
0.8179 0.3332 0.9084
0.8788 0.6832 0.6528
0.8788 0.8168 0.1528
```

Principal peaks in the range 5° ≤ 2θ ≤ 70°, by intensity:
Position (°2θ)  intensity
21.06  100
37.68  94
34.43  85
19.01  80
19.73  70
27.51  35
52.44  35
26.72  33
53.86  30
21.90  28

=====

3.
Structure and calculated powder XRD pattern of Fe5O7F3 (a structure optimized by DFT (GGA+U); CuKα).

Structural model:
```
Fe5O7F3
1.0
4.6860 0.0000 0.0000
-0.2334 4.6831 0.0000
-0.0533 -0.0081 15.1536
Fe O F
10 14 6
direct
0.0000 0.0000 0.0000
0.0008 0.0053 0.4110
0.0029 0.9975 0.1980
0.4708 0.5289 0.1018
0.4714 0.5411 0.7067
0.5000 0.5019 0.3003
0.5077 0.5074 0.4967
0.5269 0.4726 0.9029
0.9799 0.9741 0.5982
0.9987 0.0063 0.8011
0.1716 0.8207 0.7034
0.1776 0.8219 0.0989
0.1929 0.7997 0.5025
0.3006 0.3156 0.2028
0.3069 0.3066 0.0016
0.3068 0.3090 0.8038
0.3095 0.3090 0.3963
0.6694 0.6881 0.6032
0.6851 0.7005 0.2027
0.6931 0.6923 0.0015
0.6969 0.6961 0.8056
0.6979 0.6969 0.3937
0.7980 0.1949 0.5037
0.8218 0.1813 0.9020
0.1905 0.8145 0.3009
0.2043 0.7996 0.9017
0.2857 0.3045 0.6054
0.7888 0.2029 0.7013
0.7950 0.2044 0.1020
0.8115 0.1930 0.3000
```

Principal peaks in the range 5° ≤ 2θ ≤ 70°, by intensity:
Position (°2θ)  intensity
26.24  100
27.61  96
35.26  75
52.37  44
54.01  43
67.47  29
53.87  27
35.34  25
38.46  19
61.16  16

=====

4.
Structure and calculated powder XRD pattern of Li2MnF4 (a structure optimized by DFT (GGA+U); CuKα).

Structural model:
```
Li2MnF4
1.0
5.8100 0.0000 0.0000
0.0000 10.4904 0.0000
0.0000 0.0000 5.0712
Li Mn F
8 4 16
direct
0.0000 0.0000 0.0000
0.0000 0.5000 0.0000
0.2500 0.0232 0.4869
0.2500 0.4768 0.4869
0.5000 0.0000 0.0000
0.5000 0.5000 0.0000
0.7500 0.5232 0.5131
0.7500 0.9768 0.5131
0.2500 0.2500 0.8609
0.2500 0.7500 0.5325
0.7500 0.2500 0.4675
0.7500 0.7500 0.1391
0.0009 0.1215 0.6666
0.0009 0.3785 0.6666
0.2500 0.1061 0.1462
0.2500 0.3939 0.1462
0.2500 0.5994 0.7998
0.2500 0.9006 0.7998
0.4991 0.1215 0.6666
0.4991 0.3785 0.6666
0.5009 0.6215 0.3334
0.5009 0.8785 0.3334
0.7500 0.0994 0.2002
0.7500 0.4006 0.2002
0.7500 0.6061 0.8538
0.7500 0.8939 0.8538
0.9991 0.6215 0.3334
0.9991 0.8785 0.3334
```

Principal peaks in the range 5° ≤ 2θ ≤ 70°, by intensity:
Position (°2θ)  intensity
24.80  100
44.30  42
44.12  34
34.78  31
16.90  28
23.28  23
30.78  19
63.69  19
35.32  18
28.91  18

=====

5.
Structure and calculated powder XRD pattern of LiFe23O32 (a structure optimized by DFT (GGA+U); CuKα).

Structural model:
```
LiFe23O32
1.0
6.0603 3.4989 4.9503
-6.0603 3.4989 4.9503
0.0000 -6.9979 4.9503
Li Fe O
1 23 32
direct
0.0000 0.0000 0.0000
0.0000 0.5000 0.5000
0.0053 0.7537 0.7537
0.1231 0.1231 0.6235
0.1231 0.6235 0.1231
0.2463 0.2463 0.9947
0.2463 0.9947 0.2463
0.2514 0.5000 0.7486
0.2514 0.7486 0.5000
0.3702 0.3702 0.3702
0.3765 0.8769 0.8769
0.5000 0.0000 0.5000
0.5000 0.2514 0.7486
0.5000 0.5000 0.0000
0.5000 0.7486 0.2514
0.6235 0.1231 0.1231
0.6298 0.6298 0.6298
0.7486 0.2514 0.5000
0.7486 0.5000 0.2514
0.7537 0.0053 0.7537
0.7537 0.7537 0.0053
0.8769 0.3765 0.8769
0.8769 0.8769 0.3765
0.9947 0.2463 0.2463
0.0008 0.5110 0.7390
0.0008 0.7390 0.5110
0.0102 0.0102 0.2535
0.0102 0.2535 0.0102
0.2383 0.2383 0.2383
0.2401 0.4998 0.4998
0.2399 0.7526 0.7526
0.2474 0.2474 0.7601
0.2474 0.7601 0.2474
0.2535 0.0102 0.0102
0.2610 0.4890 0.9992
0.2610 0.9992 0.4890
0.4890 0.2610 0.9992
0.4890 0.9992 0.2610
0.4998 0.2401 0.4998
0.4998 0.4998 0.2401
0.5002 0.5002 0.7599
0.5002 0.7599 0.5002
0.5110 0.0008 0.7390
0.5110 0.7390 0.0008
0.7390 0.0008 0.5110
0.7390 0.5110 0.0008
0.7465 0.9898 0.9898
0.7526 0.2399 0.7526
0.7526 0.7526 0.2399
0.7601 0.2474 0.2474
0.7599 0.5002 0.5002
0.7617 0.7617 0.7617
0.9898 0.7465 0.9898
0.9898 0.9898 0.7465
0.9992 0.2610 0.4890
0.9992 0.4890 0.2610
```

Principal peaks in the range 5° ≤ 2θ ≤ 70°, by intensity:
Position (°2θ)  intensity
34.71  100
61.16  45
55.72  33
29.47  30
42.17  20
52.28  11
36.31  7
17.92  7
69.34  4
14.61  2